Record 1
Mn2F7: simulated powder X-ray diffraction pattern (Cu Kα, 1.54184 Å), based on a cell relaxed with PBE+U.
Kinematic intensities with the Lorentz-polarization factor, no thermal factor.

Structural model:
```
data_Mn2F7
_chemical_formula_sum 'Mn8 F28'
_space_group_name_H-M_alt 'P 1 21/c 1'
_space_group_IT_number 14
_cell_length_a 7.424
_cell_length_b 7.354
_cell_length_c 9.508
_cell_angle_alpha 90.00
_cell_angle_beta 91.51
_cell_angle_gamma 90.00
loop_
_space_group_symop_operation_xyz
'x,y,z'
'-x,-y,-z'
'-x,y+1/2,-z+1/2'
'x,-y+1/2,z+1/2'
loop_
_atom_site_label
_atom_site_type_symbol
_atom_site_fract_x
_atom_site_fract_y
_atom_site_fract_z
_atom_site_occupancy
Mn1 Mn 0.092 0.137 0.401 1
Mn2 Mn 0.374 0.141 0.066 1
F1 F 0.039 0.614 0.912 1
F2 F 0.115 0.692 0.182 1
F3 F 0.172 0.112 0.929 1
F4 F 0.209 0.124 0.221 1
F5 F 0.315 0.111 0.513 1
F6 F 0.432 0.610 0.578 1
F7 F 0.455 0.704 0.314 1
```

Main lines, in order of falling intensity (2θ = 15–90°):
19.5°, rel. 100
25.1°, rel. 71
17.0°, rel. 70
44.7°, rel. 29
26.0°, rel. 26
18.7°, rel. 26
40.0°, rel. 21
31.0°, rel. 20
30.2°, rel. 18
19.2°, rel. 16
49.6°, rel. 15
59.6°, rel. 14

***

Record 2
MnF4: simulated powder X-ray diffraction pattern (Cu Kα, 1.54184 Å), based on a cell relaxed with PBE+U.
Kinematic intensities with the Lorentz-polarization factor, no thermal factor.

Structural model:
```
data_MnF4
_chemical_formula_sum 'Mn2 F8'
_space_group_name_H-M_alt 'P 1 21/c 1'
_space_group_IT_number 14
_cell_length_a 5.555
_cell_length_b 4.742
_cell_length_c 5.338
_cell_angle_alpha 90.00
_cell_angle_beta 116.55
_cell_angle_gamma 90.00
loop_
_space_group_symop_operation_xyz
'x,y,z'
'-x,-y,-z'
'-x,y+1/2,-z+1/2'
'x,-y+1/2,z+1/2'
loop_
_atom_site_label
_atom_site_type_symbol
_atom_site_fract_x
_atom_site_fract_y
_atom_site_fract_z
_atom_site_occupancy
Mn1 Mn 0.000 0.000 0.000 1
F1 F 0.134 0.223 0.334 1
F2 F 0.313 0.673 0.631 1
```

Main lines, in order of falling intensity (2θ = 15–90°):
17.9°, rel. 100
26.5°, rel. 70
26.9°, rel. 68
53.4°, rel. 21
55.5°, rel. 20
42.4°, rel. 19
41.0°, rel. 18
67.7°, rel. 16
37.6°, rel. 16
33.6°, rel. 13
51.6°, rel. 11
54.5°, rel. 11

***

Record 3
MnNF3: simulated powder X-ray diffraction pattern (Cu Kα, 1.54184 Å), based on a cell relaxed with PBE+U.
Kinematic intensities with the Lorentz-polarization factor, no thermal factor.

Structural model:
```
data_MnNF3
_chemical_formula_sum 'Mn4 N4 F12'
_space_group_name_H-M_alt 'P n m a'
_space_group_IT_number 62
_cell_length_a 5.704
_cell_length_b 7.904
_cell_length_c 5.713
_cell_angle_alpha 90.00
_cell_angle_beta 90.00
_cell_angle_gamma 90.00
loop_
_space_group_symop_operation_xyz
'x,y,z'
'-x,-y,-z'
'-x+1/2,-y,z+1/2'
'x+1/2,y,-z+1/2'
'x+1/2,-y+1/2,-z+1/2'
'-x+1/2,y+1/2,z+1/2'
'-x,y+1/2,-z'
'x,-y+1/2,z'
loop_
_atom_site_label
_atom_site_type_symbol
_atom_site_fract_x
_atom_site_fract_y
_atom_site_fract_z
_atom_site_occupancy
Mn1 Mn 0.000 0.000 0.000 1
N1 N 0.002 0.250 0.499 1
F1 F 0.001 0.250 0.012 1
F2 F 0.224 0.506 0.242 1
```

Main lines, in order of falling intensity (2θ = 15–90°):
22.0°, rel. 100
44.9°, rel. 54
31.7°, rel. 51
22.5°, rel. 47
31.3°, rel. 27
66.2°, rel. 27
45.9°, rel. 26
50.6°, rel. 19
51.5°, rel. 18
50.8°, rel. 18
56.0°, rel. 17
70.7°, rel. 12

***

Record 4
MnNF3: simulated powder X-ray diffraction pattern (Cu Kα, 1.54184 Å), based on a cell relaxed with PBE+U.
Kinematic intensities with the Lorentz-polarization factor, no thermal factor.

Structural model:
```
data_MnNF3
_chemical_formula_sum 'Mn2 N2 F6'
_space_group_name_H-M_alt 'P b a m'
_space_group_IT_number 55
_cell_length_a 5.672
_cell_length_b 5.718
_cell_length_c 3.939
_cell_angle_alpha 90.00
_cell_angle_beta 90.00
_cell_angle_gamma 90.00
loop_
_space_group_symop_operation_xyz
'x,y,z'
'-x,-y,-z'
'-x,-y,z'
'x,y,-z'
'x+1/2,-y+1/2,-z'
'-x+1/2,y+1/2,z'
'-x+1/2,y+1/2,-z'
'x+1/2,-y+1/2,z'
loop_
_atom_site_label
_atom_site_type_symbol
_atom_site_fract_x
_atom_site_fract_y
_atom_site_fract_z
_atom_site_occupancy
Mn1 Mn 0.000 0.000 0.000 1
N1 N 0.000 0.500 0.500 1
F1 F 0.000 0.000 0.500 1
F2 F 0.245 0.221 0.000 1
```

Main lines, in order of falling intensity (2θ = 15–90°):
22.1°, rel. 100
45.0°, rel. 54
31.8°, rel. 51
22.6°, rel. 47
50.9°, rel. 27
66.4°, rel. 27
46.1°, rel. 26
51.7°, rel. 18
31.3°, rel. 15
31.5°, rel. 13
50.5°, rel. 10
56.0°, rel. 8

***

Record 5
MnNF3: simulated powder X-ray diffraction pattern (Cu Kα, 1.54184 Å), based on a cell relaxed with PBE+U.
Kinematic intensities with the Lorentz-polarization factor, no thermal factor.

Structural model:
```
data_MnNF3
_chemical_formula_sum 'Mn1 N1 F3'
_space_group_name_H-M_alt 'P m -3 m'
_space_group_IT_number 221
_space_group_name_Hall '-P 4 2 3'
_cell_length_a 3.983
_cell_length_b 3.983
_cell_length_c 3.983
_cell_angle_alpha 90.00
_cell_angle_beta 90.00
_cell_angle_gamma 90.00
loop_
_atom_site_label
_atom_site_type_symbol
_atom_site_fract_x
_atom_site_fract_y
_atom_site_fract_z
_atom_site_occupancy
Mn1 Mn 0.000 0.000 0.000 1
N1 N 0.500 0.500 0.500 1
F1 F 0.000 0.000 0.500 1
```

Main lines, in order of falling intensity (2θ = 15–90°):
22.3°, rel. 100
45.5°, rel. 56
31.8°, rel. 52
51.3°, rel. 38
66.4°, rel. 29
56.6°, rel. 17
71.0°, rel. 16
84.2°, rel. 9
75.5°, rel. 7
88.5°, rel. 7
39.2°, rel. 2

***

Record 6
MnNF3: simulated powder X-ray diffraction pattern (Cu Kα, 1.54184 Å), based on a cell relaxed with PBE+U.
Kinematic intensities with the Lorentz-polarization factor, no thermal factor.

Structural model:
```
data_MnNF3
_chemical_formula_sum 'Mn4 N4 F12'
_space_group_name_H-M_alt 'P n m a'
_space_group_IT_number 62
_cell_length_a 5.604
_cell_length_b 8.055
_cell_length_c 5.658
_cell_angle_alpha 90.00
_cell_angle_beta 90.00
_cell_angle_gamma 90.00
loop_
_space_group_symop_operation_xyz
'x,y,z'
'-x,-y,-z'
'-x+1/2,-y,z+1/2'
'x+1/2,y,-z+1/2'
'x+1/2,-y+1/2,-z+1/2'
'-x+1/2,y+1/2,z+1/2'
'-x,y+1/2,-z'
'x,-y+1/2,z'
loop_
_atom_site_label
_atom_site_type_symbol
_atom_site_fract_x
_atom_site_fract_y
_atom_site_fract_z
_atom_site_occupancy
Mn1 Mn 0.000 0.000 0.000 1
N1 N 0.003 0.250 0.497 1
F1 F 0.001 0.250 0.010 1
F2 F 0.249 0.004 0.767 1
```

Main lines, in order of falling intensity (2θ = 15–90°):
22.3°, rel. 100
31.6°, rel. 67
45.6°, rel. 55
22.1°, rel. 51
66.0°, rel. 36
45.0°, rel. 29
51.2°, rel. 29
50.8°, rel. 20
56.3°, rel. 13
31.9°, rel. 13
51.5°, rel. 9
56.7°, rel. 9

***

Record 7
MnNF3: simulated powder X-ray diffraction pattern (Cu Kα, 1.54184 Å), based on a cell relaxed with PBE+U.
Kinematic intensities with the Lorentz-polarization factor, no thermal factor.

Structural model:
```
data_MnNF3
_chemical_formula_sum 'Mn2 N2 F6'
_space_group_name_H-M_alt 'P 4/m b m'
_space_group_IT_number 127
_space_group_name_Hall '-P 4 2ab'
_cell_length_a 5.695
_cell_length_b 5.695
_cell_length_c 3.957
_cell_angle_alpha 90.00
_cell_angle_beta 90.00
_cell_angle_gamma 90.00
loop_
_atom_site_label
_atom_site_type_symbol
_atom_site_fract_x
_atom_site_fract_y
_atom_site_fract_z
_atom_site_occupancy
Mn1 Mn 0.000 0.500 0.000 1
N1 N 0.000 0.000 0.500 1
F1 F 0.000 0.500 0.500 1
F2 F 0.235 0.265 0.000 1
```

Main lines, in order of falling intensity (2θ = 15–90°):
22.1°, rel. 100
45.0°, rel. 55
31.7°, rel. 51
22.5°, rel. 47
66.2°, rel. 27
31.4°, rel. 27
45.9°, rel. 26
50.7°, rel. 19
51.5°, rel. 18
50.9°, rel. 18
56.1°, rel. 17
65.6°, rel. 14

***

Record 8
NaMnF3: simulated powder X-ray diffraction pattern (Cu Kα, 1.54184 Å), based on a cell relaxed with PBE+U.
Kinematic intensities with the Lorentz-polarization factor, no thermal factor.

Structural model:
```
data_NaMnF3
_chemical_formula_sum 'Na4 Mn4 F12'
_space_group_name_H-M_alt 'P n m a'
_space_group_IT_number 62
_cell_length_a 5.839
_cell_length_b 8.124
_cell_length_c 5.619
_cell_angle_alpha 90.00
_cell_angle_beta 90.00
_cell_angle_gamma 90.00
loop_
_space_group_symop_operation_xyz
'x,y,z'
'-x,-y,-z'
'-x+1/2,-y,z+1/2'
'x+1/2,y,-z+1/2'
'x+1/2,-y+1/2,-z+1/2'
'-x+1/2,y+1/2,z+1/2'
'-x,y+1/2,-z'
'x,-y+1/2,z'
loop_
_atom_site_label
_atom_site_type_symbol
_atom_site_fract_x
_atom_site_fract_y
_atom_site_fract_z
_atom_site_occupancy
Na1 Na 0.057 0.250 0.016 1
Mn1 Mn 0.000 0.000 0.500 1
F1 F 0.054 0.750 0.381 1
F2 F 0.196 0.563 0.808 1
```

Main lines, in order of falling intensity (2θ = 15–90°):
31.2°, rel. 100
21.9°, rel. 87
44.8°, rel. 43
56.3°, rel. 40
30.6°, rel. 24
44.6°, rel. 23
54.8°, rel. 22
55.1°, rel. 18
31.9°, rel. 17
50.4°, rel. 17
36.8°, rel. 17
65.1°, rel. 15

***

Record 9
NaMn3F10: simulated powder X-ray diffraction pattern (Cu Kα, 1.54184 Å), based on a cell relaxed with PBE+U.
Kinematic intensities with the Lorentz-polarization factor, no thermal factor.

Structural model:
```
data_NaMn3F10
_chemical_formula_sum 'Na8 Mn24 F80'
_space_group_name_H-M_alt 'F d d 2'
_space_group_IT_number 43
_space_group_name_Hall 'F 2 -2d'
_cell_length_a 13.417
_cell_length_b 15.963
_cell_length_c 7.484
_cell_angle_alpha 90.00
_cell_angle_beta 90.00
_cell_angle_gamma 90.00
loop_
_atom_site_label
_atom_site_type_symbol
_atom_site_fract_x
_atom_site_fract_y
_atom_site_fract_z
_atom_site_occupancy
Na1 Na 0.000 0.000 0.000 1
Mn1 Mn 0.000 0.000 0.481 1
Mn2 Mn 0.000 0.250 0.478 1
F1 F 0.000 0.133 0.484 1
F2 F 0.003 0.363 0.471 1
F3 F 0.046 0.246 0.228 1
F4 F 0.097 0.498 0.795 1
F5 F 0.099 0.001 0.661 1
```

Main lines, in order of falling intensity (2θ = 15–90°):
27.3°, rel. 100
22.3°, rel. 96
26.6°, rel. 56
47.4°, rel. 41
45.5°, rel. 32
53.8°, rel. 24
67.7°, rel. 22
56.3°, rel. 18
52.9°, rel. 18
48.7°, rel. 16
17.3°, rel. 15
75.1°, rel. 13

***

Record 10
Na2MnF5: simulated powder X-ray diffraction pattern (Cu Kα, 1.54184 Å), based on a cell relaxed with PBE+U.
Kinematic intensities with the Lorentz-polarization factor, no thermal factor.

Structural model:
```
data_Na2MnF5
_chemical_formula_sum 'Na8 Mn4 F20'
_space_group_name_H-M_alt 'P 1 21/c 1'
_space_group_IT_number 14
_cell_length_a 7.853
_cell_length_b 5.332
_cell_length_c 11.018
_cell_angle_alpha 90.00
_cell_angle_beta 108.72
_cell_angle_gamma 90.00
loop_
_space_group_symop_operation_xyz
'x,y,z'
'-x,-y,-z'
'-x,y+1/2,-z+1/2'
'x,-y+1/2,z+1/2'
loop_
_atom_site_label
_atom_site_type_symbol
_atom_site_fract_x
_atom_site_fract_y
_atom_site_fract_z
_atom_site_occupancy
Na1 Na 0.149 0.013 0.368 1
Na2 Na 0.345 0.557 0.180 1
Mn1 Mn 0.000 0.000 0.000 1
Mn2 Mn 0.500 0.000 0.000 1
F1 F 0.047 0.649 0.666 1
F2 F 0.109 0.199 0.574 1
F3 F 0.251 0.672 0.503 1
F4 F 0.379 0.219 0.865 1
F5 F 0.494 0.743 0.374 1
```

Main lines, in order of falling intensity (2θ = 15–90°):
28.2°, rel. 100
30.7°, rel. 62
17.0°, rel. 58
18.7°, rel. 52
48.4°, rel. 40
23.9°, rel. 29
38.7°, rel. 28
49.4°, rel. 23
46.3°, rel. 19
55.7°, rel. 14
24.5°, rel. 13
58.3°, rel. 12